SrPaPd2S4: theoretical XRD peak list (Cu Kα), based on a DFT-relaxed cell (PBE, Alexandria).
No peak broadening, texture or thermal motion is included.

Principal peaks in the range 2θ = 10–90°, in order of falling intensity:
two_theta	intensity
29.8	100
38.1	50
17.3	45
48.3	28
26.0	26
49.9	25

Structure:
```
8
Lattice="-3.2618 3.4262 3.8858 3.2618 -3.4262 3.8858 3.2618 3.4262 -3.8858" Properties=species:S:1:pos:R:3 pbc="T T T"
Sr 0.0000 0.0000 0.0000
Pa 0.0000 0.0000 3.8858
Pd 3.2618 0.0000 2.4537
Pd 0.0000 3.4262 1.4322
S 1.8392 1.8861 -1.5791
S 4.6843 1.8861 1.5791
S 1.4225 1.5401 2.3067
S -1.4225 1.5401 5.4649
```